(1)
This entry pairs a crystal structure of SO with its simulated powder diffractogram. Radiation: Cu Ka. Structure: a DFT-relaxed cell (GGA-PBE, Alexandria).
No peak broadening, texture or thermal motion is included.

Main lines, sorted by position (2θ = 10–90°):
2θ/deg	I/Imax	index
17.00	98	0 2 0
23.50	99	1 1 0
30.08	48	1 1 -1
33.50	100	0 2 1
34.39	28	0 4 0
38.93	73	1 3 -1
44.61	16	2 0 0
45.35	29	0 4 1
52.65	14	0 6 0
55.34	22	1 1 -2

Structural model:
```
data_SO
_chemical_formula_sum 'S4 O4'
_cell_length_a 4.385
_cell_length_b 10.431
_cell_length_c 3.363
_cell_angle_alpha 90.00
_cell_angle_beta 112.11
_cell_angle_gamma 90.00
_symmetry_space_group_name_H-M 'C 1 c 1'
_symmetry_Int_Tables_number 9
_symmetry_space_group_name_Hall 'C -2yc'
loop_
_atom_site_label
_atom_site_type_symbol
_atom_site_fract_x
_atom_site_fract_y
_atom_site_fract_z
_atom_site_occupancy
S1 S 0.000 0.081 0.000 1
O1 O 0.140 0.393 0.323 1
```

---

(2)
This entry pairs a crystal structure of Nb2Zn3O8 with its simulated powder diffractogram. Radiation: Cu Ka. Structure: a DFT-relaxed cell (GGA-PBE, Alexandria).
No peak broadening, texture or thermal motion is included.

Main lines, sorted by position (2θ = 10–90°):
2θ/deg	I/Imax	index
26.45	36	3 1 1
27.43	70	5 1 0
32.29	100	5 1 -1
32.41	79	5 1 1
34.00	58	0 0 2
34.51	85	0 2 1
51.57	61	5 3 0
51.65	24	8 2 1
61.17	34	0 2 3
63.17	23	5 3 -2

Structural model:
```
data_Nb2Zn3O8
_chemical_formula_sum 'Nb8 Zn12 O32'
_cell_length_a 19.375
_cell_length_b 5.975
_cell_length_c 5.274
_cell_angle_alpha 90.00
_cell_angle_beta 90.27
_cell_angle_gamma 90.00
_symmetry_space_group_name_H-M 'C 1 2/c 1'
_symmetry_Int_Tables_number 15
_symmetry_space_group_name_Hall '-C 2yc'
loop_
_atom_site_label
_atom_site_type_symbol
_atom_site_fract_x
_atom_site_fract_y
_atom_site_fract_z
_atom_site_occupancy
Nb1 Nb 0.114 0.163 0.264 1
Zn1 Zn 0.000 0.347 0.750 1
Zn2 Zn 0.221 0.346 0.763 1
O1 O 0.058 0.375 0.414 1
O2 O 0.070 0.115 0.925 1
O3 O 0.180 0.103 0.559 1
O4 O 0.193 0.355 0.133 1
```

---

(3)
This entry pairs a crystal structure of Sr3Cd7Ag4 with its simulated powder diffractogram. Radiation: Cu Ka. Structure: a DFT-relaxed cell (GGA-PBE, Alexandria).
No peak broadening, texture or thermal motion is included.

Main lines, sorted by position (2θ = 10–90°):
2θ/deg	I/Imax	index
16.99	19	2 0 -2
31.02	83	1 1 2
31.81	30	3 1 -3
32.06	84	5 1 -2
34.73	33	5 1 -3
36.57	25	5 1 0
37.66	100	0 2 0
39.57	22	3 1 -4
39.94	34	1 1 3
54.32	23	6 2 0

Structural model:
```
data_Sr3Cd7Ag4
_chemical_formula_sum 'Sr6 Cd14 Ag8'
_cell_length_a 17.320
_cell_length_b 4.779
_cell_length_c 10.453
_cell_angle_alpha 90.00
_cell_angle_beta 124.22
_cell_angle_gamma 90.00
_symmetry_space_group_name_H-M 'C 1 2/m 1'
_symmetry_Int_Tables_number 12
_symmetry_space_group_name_Hall '-C 2y'
loop_
_atom_site_label
_atom_site_type_symbol
_atom_site_fract_x
_atom_site_fract_y
_atom_site_fract_z
_atom_site_occupancy
Sr1 Sr 0.000 0.000 0.000 1
Sr2 Sr 0.196 0.500 0.699 1
Cd1 Cd 0.000 0.000 0.500 1
Cd2 Cd 0.003 0.500 0.301 1
Cd3 Cd 0.147 0.000 0.420 1
Cd4 Cd 0.174 0.500 0.021 1
Ag1 Ag 0.122 0.000 0.836 1
Ag2 Ag 0.162 0.500 0.282 1
```

---

(4)
This entry pairs a crystal structure of Cu5I2Cl3 with its simulated powder diffractogram. Radiation: Cu Ka. Structure: a DFT-relaxed cell (GGA-PBE, Alexandria).
No peak broadening, texture or thermal motion is included.

Main lines, sorted by position (2θ = 10–90°):
2θ/deg	I/Imax	index
18.43	77	1 3 0
19.45	92	1 2 1
25.24	45	2 1 1
26.27	30	1 4 1
33.55	100	2 0 2
34.94	35	1 6 1
44.32	37	3 3 2
45.20	24	4 1 1
46.62	41	2 8 0
49.19	42	0 8 2

Structural model:
```
data_Cu5I2Cl3
_chemical_formula_sum 'Cu20 I8 Cl12'
_cell_length_a 8.450
_cell_length_b 17.570
_cell_length_c 6.894
_cell_angle_alpha 90.00
_cell_angle_beta 90.00
_cell_angle_gamma 90.00
_symmetry_space_group_name_H-M 'I b a m'
_symmetry_Int_Tables_number 72
_symmetry_space_group_name_Hall '-I 2 2c'
loop_
_atom_site_label
_atom_site_type_symbol
_atom_site_fract_x
_atom_site_fract_y
_atom_site_fract_z
_atom_site_occupancy
Cu1 Cu 0.000 0.000 0.250 1
Cu2 Cu 0.000 0.367 0.250 1
Cu3 Cu 0.249 0.456 0.000 1
I1 I 0.190 0.315 0.000 1
Cl1 Cl 0.000 0.500 0.250 1
Cl2 Cl 0.140 0.070 0.000 1
```